KTl2Hg16: theoretical X-ray powder pattern (Cu Kα), based on the GGA-PBE geometry in Alexandria.
Peak positions follow from Bragg's law for the DFT cell and can differ from measured ones.

Top 10 peaks for 15 to 90 degrees two-theta, most intense first:
| d/Å | 2theta | intensity |
| --- | --- | --- |
| 2.624 | 34.2 | 100 |
| 2.925 | 30.6 | 43 |
| 2.853 | 31.4 | 24 |
| 3.340 | 26.7 | 19 |
| 2.169 | 41.6 | 14 |
| 2.317 | 38.9 | 14 |
| 1.647 | 55.8 | 13 |
| 1.545 | 59.9 | 12 |
| 1.981 | 45.8 | 12 |
| 3.078 | 29.0 | 11 |

Structural model:
```
KTl2Hg16
1.0
4.941 2.853 6.680
-4.941 2.853 6.680
0.000 -5.705 6.680
K Tl Hg
1 2 16
Direct
0.000 0.000 0.000
0.212 0.212 0.212
0.592 0.592 0.592
0.126 0.478 0.478
0.216 0.588 0.899
0.216 0.899 0.588
0.270 0.270 0.789
0.270 0.789 0.270
0.459 0.857 0.857
0.478 0.126 0.478
0.478 0.478 0.126
0.588 0.216 0.899
0.588 0.899 0.216
0.789 0.270 0.270
0.829 0.829 0.829
0.857 0.459 0.857
0.857 0.857 0.459
0.899 0.216 0.588
0.899 0.588 0.216
```